1.
The following is a calculated powder diffractogram of Rb2LiSn4. It was derived from a DFT-relaxed cell (PBE, the Materials Project), using Cu Ka.

Principal peaks in the range 2θ from 10° to 80°, sorted by position:
hkl, 2θ (°), I_rel
-1 1 1, 10.9, 35
1 1 -1, 12.3, 100
1 -1 1, 12.4, 32
0 0 4, 24.7, 73
0 2 -4, 25.4, 35
2 0 -4, 26.9, 63
2 -4 0, 27.2, 56
-2 4 3, 32.8, 35
1 -1 5, 34.0, 52
3 -5 0, 36.9, 43

Crystal structure
Cell: 9.832 14.991 15.111 Å, 97.40 103.56 102.52°
Fractional coordinates of all 56 atoms:
Rb1 0.007 0.133 0.372
Rb2 0.037 0.397 0.128
Rb3 0.107 0.910 0.934
Rb4 0.158 0.463 0.436
Rb5 0.341 0.042 0.566
Rb6 0.395 0.592 0.064
Rb7 0.469 0.351 0.616
Rb8 0.489 0.884 0.115
Rb9 0.511 0.116 0.885
Rb10 0.531 0.649 0.384
Rb11 0.605 0.408 0.936
Rb12 0.659 0.958 0.434
Rb13 0.842 0.537 0.564
Rb14 0.893 0.090 0.066
Rb15 0.963 0.603 0.872
Rb16 0.993 0.867 0.628
Li1 0.208 0.246 0.955
Li2 0.212 0.753 0.453
Li3 0.290 0.540 0.747
Li4 0.298 0.047 0.249
Li5 0.702 0.953 0.751
Li6 0.710 0.460 0.253
Li7 0.788 0.247 0.547
Li8 0.792 0.754 0.045
Sn1 0.005 0.097 0.807
Sn2 0.007 0.868 0.387
Sn3 0.090 0.347 0.645
Sn4 0.103 0.742 0.111
Sn5 0.151 0.398 0.856
Sn6 0.156 0.638 0.268
Sn7 0.241 0.234 0.239
Sn8 0.249 0.687 0.639
Sn9 0.254 0.239 0.769
Sn10 0.261 0.852 0.304
Sn11 0.325 0.736 0.853
Sn12 0.369 0.139 0.099
Sn13 0.388 0.885 0.742
Sn14 0.420 0.352 0.139
Sn15 0.476 0.200 0.399
Sn16 0.487 0.393 0.354
Sn17 0.513 0.607 0.646
Sn18 0.524 0.800 0.601
Sn19 0.580 0.648 0.861
Sn20 0.612 0.115 0.258
Sn21 0.631 0.861 0.901
Sn22 0.675 0.264 0.147
Sn23 0.739 0.148 0.696
Sn24 0.746 0.761 0.231
Sn25 0.751 0.313 0.361
Sn26 0.759 0.766 0.761
Sn27 0.844 0.362 0.732
Sn28 0.849 0.602 0.144
Sn29 0.897 0.258 0.889
Sn30 0.910 0.653 0.355
Sn31 0.993 0.132 0.613
Sn32 0.995 0.903 0.193

---

2.
The following is a calculated powder diffractogram of BaCaNdNbO6. It was derived from a DFT-relaxed cell (PBE, the Materials Project), using Cu Ka.

Principal peaks in the range 2θ from 10° to 80°, sorted by position:
hkl, 2θ (°), I_rel
2 0 2, 29.7, 100
0 0 4, 42.4, 9
0 4 0, 42.5, 9
4 0 0, 42.7, 9
2 4 2, 52.7, 30
4 2 2, 52.8, 15
0 4 4, 61.6, 5
2 0 6, 69.8, 6
0 6 2, 70.0, 6
6 0 2, 70.2, 6

Crystal structure
Cell: 8.473 8.501 8.527 Å, 90.00 90.00 90.00°
Fractional coordinates of all 40 atoms:
Ba1 0.000 0.000 0.000
Ba2 0.000 0.000 0.500
Ba3 0.000 0.500 0.000
Ba4 0.500 0.500 0.500
Ca1 0.000 0.500 0.500
Ca2 0.500 0.000 0.000
Ca3 0.500 0.000 0.500
Ca4 0.500 0.500 0.000
Nd1 0.256 0.254 0.250
Nd2 0.256 0.746 0.750
Nd3 0.744 0.254 0.750
Nd4 0.744 0.746 0.250
Nb1 0.257 0.249 0.748
Nb2 0.257 0.751 0.252
Nb3 0.743 0.249 0.252
Nb4 0.743 0.751 0.748
O1 0.021 0.274 0.785
O2 0.021 0.726 0.215
O3 0.207 0.309 0.521
O4 0.207 0.691 0.479
O5 0.222 0.017 0.719
O6 0.222 0.983 0.281
O7 0.301 0.203 0.981
O8 0.301 0.797 0.019
O9 0.306 0.478 0.800
O10 0.306 0.522 0.200
O11 0.481 0.207 0.684
O12 0.481 0.793 0.316
O13 0.519 0.207 0.316
O14 0.519 0.793 0.684
O15 0.694 0.478 0.200
O16 0.694 0.522 0.800
O17 0.699 0.203 0.019
O18 0.699 0.797 0.981
O19 0.778 0.017 0.281
O20 0.778 0.983 0.719
O21 0.793 0.309 0.479
O22 0.793 0.691 0.521
O23 0.979 0.274 0.215
O24 0.979 0.726 0.785